Computed X-ray powder pattern
Compound: Sm6Ni2Os
Radiation: CuKα
Structure: the PBE geometry in Alexandria
Intensities are scaled so that the largest is 100.

Largest 10 diffraction maxima, by angle, 10° ≤ 2θ ≤ 90°:
2theta  I/Imax
28.89  50
29.77  43
32.07  100
34.37  84
34.65  95
38.06  35
39.22  23
39.81  19
45.67  23
59.57  29

Crystal structure
Cell lengths 8.3777, 8.3777, 8.3777 Å; angles 111.26, 108.75, 108.42 degrees
Fractional coordinates of all 18 atoms:
1 Sm 0.0580 0.8197 0.2383
2 Sm 0.1679 0.3108 0.4786
3 Sm 0.1679 0.6892 0.8571
4 Sm 0.3282 0.0881 0.7599
5 Sm 0.3282 0.5683 0.2401
6 Sm 0.4186 0.1803 0.2383
7 Sm 0.5814 0.8197 0.7617
8 Sm 0.6718 0.4317 0.7599
9 Sm 0.6718 0.9119 0.2401
10 Sm 0.8321 0.3108 0.1429
11 Sm 0.8321 0.6892 0.5214
12 Sm 0.9420 0.1803 0.7617
13 Ni 0.1744 0.6744 0.5000
14 Ni 0.3826 0.5000 0.8826
15 Ni 0.6174 0.5000 0.1174
16 Ni 0.8256 0.3256 0.5000
17 Os 0.0000 0.0000 0.0000
18 Os 0.5000 0.0000 0.5000